Calculated powder XRD pattern of LiAg2F4 for CuKα, from a crystal structure in the Materials Project, relaxed with GGA-PBE.
Kinematic intensities with the Lorentz-polarization factor, no thermal factor.

Largest 10 diffraction maxima, low angle first, 2θ from 15° to 90°:
2theta, I_rel
20.39, 89
26.03, 100
33.29, 54
37.14, 76
41.47, 26
42.74, 53
49.62, 36
53.54, 23
56.88, 36
57.88, 21

Cell and atoms:
Cell lengths 5.5388, 5.5388, 6.8480 Å; angles 90.00, 90.00, 76.34 degrees
Element x y z (fractional)
Li (0.0000, 0.0000, 0.0000)
Li (0.5000, 0.5000, 0.5000)
Ag (0.0048, 0.4952, 0.2500)
Ag (0.4952, 0.0048, 0.7500)
Ag (0.5048, 0.9952, 0.2500)
Ag (0.9952, 0.5048, 0.7500)
F (0.2170, 0.2170, 0.0000)
F (0.2324, 0.7676, 0.7829)
F (0.2676, 0.7324, 0.2829)
F (0.2830, 0.2830, 0.5000)
F (0.7170, 0.7170, 0.5000)
F (0.7324, 0.2676, 0.7171)
F (0.7676, 0.2324, 0.2171)
F (0.7830, 0.7830, 0.0000)